# 1
Nd2Cu3Ir: theoretical powder diffraction line list (Cu Kα (weighted mean of Kα1 and Kα2)), based on DFT lattice parameters and positions (PBE).

Top 10 peaks for 2θ = 10–90°, most intense first:
(hkl)	2θ/deg	I_rel
2 2 2	33.5	100
2 0 4	33.8	58
0 2 6	42.4	53
4 2 6	65.5	28
0 4 0	41.8	28
2 4 4	54.8	27
4 0 0	47.4	19
1 1 3	23.9	18
4 4 0	65.0	15
2 2 10	72.2	13

Crystal structure
```
data_Nd2Cu3Ir
_chemical_formula_sum 'Nd16 Cu24 Ir8'
_cell_length_a 7.6725
_cell_length_b 8.6362
_cell_length_c 14.6932
_cell_angle_alpha 90.00
_cell_angle_beta 90.00
_cell_angle_gamma 90.00
_symmetry_space_group_name_H-M 'F m m m'
_symmetry_Int_Tables_number 69
_symmetry_space_group_name_Hall '-F 2 2'
loop_
_atom_site_label
_atom_site_type_symbol
_atom_site_fract_x
_atom_site_fract_y
_atom_site_fract_z
_atom_site_occupancy
Nd1 Nd 0.2427 0.0000 0.0000 1
Nd2 Nd 0.2500 0.2500 0.2500 1
Cu1 Cu 0.0000 0.0000 0.3345 1
Cu2 Cu 0.0000 0.2428 0.4179 1
Ir1 Ir 0.0000 0.0000 0.1618 1
```

# 2
PrNdCuIr: theoretical powder diffraction line list (Cu Kα (weighted mean of Kα1 and Kα2)), based on DFT lattice parameters and positions (PBE).

Top 10 peaks for 2θ = 10–90°, most intense first:
(hkl)	2θ/deg	I_rel
1 1 1	31.2	100
1 1 3	39.4	69
0 1 3	33.5	32
2 0 0	40.7	29
1 0 4	39.2	26
2 1 7	79.6	25
0 0 4	33.3	23
0 2 0	45.2	22
0 0 2	16.5	20
2 1 3	53.8	17

Crystal structure
```
data_PrNdCuIr
_chemical_formula_sum 'Pr2 Nd2 Cu2 Ir2'
_cell_length_a 4.4295
_cell_length_b 4.0081
_cell_length_c 10.7605
_cell_angle_alpha 90.00
_cell_angle_beta 90.00
_cell_angle_gamma 90.00
_symmetry_space_group_name_H-M 'A m m 2'
_symmetry_Int_Tables_number 38
loop_
_symmetry_equiv_pos_as_xyz
'x,y,z'
'-x,-y,z'
'-x,y,z'
'x,-y,z'
'x,y+1/2,z+1/2'
'-x,-y+1/2,z+1/2'
'-x,y+1/2,z+1/2'
'x,-y+1/2,z+1/2'
loop_
_atom_site_label
_atom_site_type_symbol
_atom_site_fract_x
_atom_site_fract_y
_atom_site_fract_z
_atom_site_occupancy
Pr1 Pr 0.0000 0.0000 0.0000 1
Nd1 Nd 0.5000 0.0000 0.2767 1
Cu1 Cu 0.5000 0.0000 0.5683 1
Ir1 Ir 0.0000 0.0000 0.7152 1
```